# 1
Starting from DFT lattice parameters and positions (GGA-PBE), the powder diffractogram of MoWSeS3 was simulated for Cu Ka.

Most intense lines, 2θ = 10–90°, sorted by position:
2theta, I_rel
12.16, 100.0
14.61, 29.4
32.13, 27.7
32.96, 12.4
34.44, 12.4
37.85, 52.8
45.94, 31.5
47.84, 12.9
57.23, 17.8
58.74, 10.4

Structure:
Cell lengths 3.2199, 3.2199, 36.3839 Å; angles 90.00, 90.00, 120.00 degrees
Atoms (fractional coordinates):
Mo (0.0000, 0.0000, 0.0000)
Mo (0.3333, 0.6667, 0.5636)
W (0.0000, 0.0000, 0.3757)
W (0.3333, 0.6667, 0.1879)
Se (0.0000, 0.0000, 0.5166)
Se (0.0000, 0.0000, 0.6107)
S (0.0000, 0.0000, 0.1449)
S (0.0000, 0.0000, 0.2308)
S (0.3333, 0.6667, 0.0428)
S (0.3333, 0.6667, 0.3328)
S (0.3333, 0.6667, 0.4187)
S (0.3333, 0.6667, 0.9572)

# 2
Starting from DFT lattice parameters and positions (GGA-PBE), the powder diffractogram of LiTaRh2 was simulated for Cu Ka.

Most intense lines, 2θ = 10–90°, sorted by position:
2theta, I_rel
25.10, 48.3
29.06, 0.8
41.57, 100.0
49.17, 24.0
60.24, 16.6
66.30, 9.9
75.84, 33.6
81.36, 7.6

Structure:
Cell lengths 4.3454, 4.3454, 4.3454 Å; angles 60.00, 60.00, 60.00 degrees
Atoms (fractional coordinates):
Li (0.0000, 0.0000, 0.0000)
Ta (0.5000, 0.5000, 0.5000)
Rh (0.2500, 0.2500, 0.2500)
Rh (0.7500, 0.7500, 0.7500)

# 3
Starting from DFT lattice parameters and positions (GGA-PBE), the powder diffractogram of Ba2PrMgNbO6 was simulated for Cu Ka.

Most intense lines, 2θ = 10–90°, sorted by position:
2theta, I_rel
14.35, 17.1
25.76, 53.2
29.61, 50.8
29.75, 100.0
39.75, 32.1
41.98, 20.7
42.47, 24.3
50.43, 16.8
52.76, 39.8
61.78, 18.0

Structure:
Cell lengths 7.0791, 7.0791, 7.0791 Å; angles 50.20, 50.20, 50.20 degrees
Atoms (fractional coordinates):
Ba (0.0000, 0.0000, 0.0000)
Ba (0.4163, 0.4163, 0.4163)
Pr (0.2035, 0.2035, 0.2035)
Mg (0.8277, 0.8277, 0.8277)
Nb (0.6811, 0.6811, 0.6811)
O (0.4535, 0.4788, 0.9563)
O (0.4540, 0.9479, 0.8919)
O (0.4788, 0.9563, 0.4535)
O (0.8919, 0.4540, 0.9479)
O (0.9479, 0.8919, 0.4540)
O (0.9563, 0.4535, 0.4788)